No. 1
Theoretical powder XRD pattern
Compound: NbTcAu
Radiation: Cu Kα (weighted mean of Kα1 and Kα2)
Structure: a crystal structure in Alexandria, relaxed with PBE

Structural model:
```
data_NbTcAu
_cell_length_a 9.035
_cell_length_b 4.898
_cell_length_c 4.598
_cell_angle_alpha 90.00
_cell_angle_beta 91.58
_cell_angle_gamma 90.00
_symmetry_space_group_name_H-M 'C 1 c 1'
_symmetry_Int_Tables_number 9
_symmetry_space_group_name_Hall 'C -2yc'
loop_
_atom_site_label
_atom_site_fract_x
_atom_site_fract_y
_atom_site_fract_z
Nb1 0.000 0.197 0.000
Tc1 0.355 0.170 0.032
Au1 0.181 0.319 0.515
```

Most intense lines, 10 to 80 degrees two-theta, by angle:
d/Å	I (rel.)
3.122	24
2.565	27
2.449	30
2.298	58
2.262	100
2.218	83
2.161	54
1.676	18
1.435	23
1.329	17

No. 2
Theoretical powder XRD pattern
Compound: NbTe4Au
Radiation: Cu Kα (weighted mean of Kα1 and Kα2)
Structure: a crystal structure in Alexandria, relaxed with PBE

Structural model:
```
data_NbTe4Au
_cell_length_a 6.819
_cell_length_b 6.955
_cell_length_c 6.950
_cell_angle_alpha 90.00
_cell_angle_beta 90.25
_cell_angle_gamma 90.00
_symmetry_space_group_name_H-M 'P 1 21/c 1'
_symmetry_Int_Tables_number 14
_symmetry_space_group_name_Hall '-P 2ybc'
loop_
_atom_site_label
_atom_site_fract_x
_atom_site_fract_y
_atom_site_fract_z
Nb1 0.000 0.000 0.000
Te1 0.109 0.138 0.360
Te2 0.369 0.620 0.386
Au1 0.500 0.000 0.500
```

Most intense lines, 10 to 80 degrees two-theta, by angle:
d/Å	I (rel.)
3.476	41
3.409	28
3.106	100
3.061	49
2.829	79
2.798	46
2.436	26
2.093	84
2.089	38
2.065	30

No. 3
Theoretical powder XRD pattern
Compound: TiNbAu4
Radiation: Cu Kα (weighted mean of Kα1 and Kα2)
Structure: a crystal structure in Alexandria, relaxed with PBE

Structural model:
```
data_TiNbAu4
_cell_length_a 3.027
_cell_length_b 3.027
_cell_length_c 11.634
_cell_angle_alpha 90.00
_cell_angle_beta 90.00
_cell_angle_gamma 90.00
_symmetry_space_group_name_H-M 'P 4/m m m'
_symmetry_Int_Tables_number 123
_symmetry_space_group_name_Hall '-P 4 2'
loop_
_atom_site_label
_atom_site_fract_x
_atom_site_fract_y
_atom_site_fract_z
Ti1 0.000 0.000 0.000
Nb1 0.500 0.500 0.500
Au1 0.000 0.000 0.334
Au2 0.500 0.500 0.155
```

Most intense lines, 10 to 80 degrees two-theta, by angle:
d/Å	I (rel.)
5.817	9
2.930	16
2.908	6
2.386	100
2.141	37
1.939	13
1.724	6
1.514	12
1.437	19
1.278	28

No. 4
Theoretical powder XRD pattern
Compound: Ti3Nb3Au
Radiation: Cu Kα (weighted mean of Kα1 and Kα2)
Structure: a crystal structure in Alexandria, relaxed with PBE

Structural model:
```
data_Ti3Nb3Au
_cell_length_a 5.645
_cell_length_b 7.092
_cell_length_c 7.115
_cell_angle_alpha 117.35
_cell_angle_beta 97.10
_cell_angle_gamma 98.50
_symmetry_space_group_name_H-M 'P -1'
_symmetry_Int_Tables_number 2
_symmetry_space_group_name_Hall '-P 1'
loop_
_atom_site_label
_atom_site_fract_x
_atom_site_fract_y
_atom_site_fract_z
Ti1 0.044 0.434 0.282
Ti2 0.241 0.002 0.994
Ti3 0.388 0.723 0.145
Nb1 0.095 0.279 0.855
Nb2 0.174 0.140 0.423
Nb3 0.320 0.863 0.575
Au1 0.462 0.577 0.731
```

Most intense lines, 10 to 80 degrees two-theta, by angle:
d/Å	I (rel.)
2.335	35
2.316	35
2.304	100
2.299	33
1.647	12
1.643	13
1.612	10
1.342	11
1.336	11
1.334	11

No. 5
Theoretical powder XRD pattern
Compound: Nb14WAu
Radiation: Cu Kα (weighted mean of Kα1 and Kα2)
Structure: a crystal structure in Alexandria, relaxed with PBE

Structural model:
```
data_Nb14WAu
_cell_length_a 6.624
_cell_length_b 9.477
_cell_length_c 9.182
_cell_angle_alpha 90.00
_cell_angle_beta 90.00
_cell_angle_gamma 90.00
_symmetry_space_group_name_H-M 'C m m m'
_symmetry_Int_Tables_number 65
_symmetry_space_group_name_Hall '-C 2 2'
loop_
_atom_site_label
_atom_site_fract_x
_atom_site_fract_y
_atom_site_fract_z
Nb1 0.000 0.000 0.000
Nb2 0.000 0.249 0.253
Nb3 0.000 0.500 0.000
Nb4 0.240 0.500 0.250
Nb5 0.250 0.250 0.000
Nb6 0.250 0.250 0.500
W1 0.000 0.500 0.500
Au1 0.000 0.000 0.500
```

Most intense lines, 10 to 80 degrees two-theta, by angle:
d/Å	I (rel.)
4.211	2
2.369	26
2.337	100
2.295	24
1.656	8
1.649	17
1.362	17
1.357	9
1.343	8
1.333	16

No. 6
Theoretical powder XRD pattern
Compound: Nd13Au2
Radiation: Cu Kα (weighted mean of Kα1 and Kα2)
Structure: a crystal structure in Alexandria, relaxed with PBE

Structural model:
```
data_Nd13Au2
_cell_length_a 6.787
_cell_length_b 8.646
_cell_length_c 9.624
_cell_angle_alpha 63.83
_cell_angle_beta 81.23
_cell_angle_gamma 80.36
_symmetry_space_group_name_H-M 'P -1'
_symmetry_Int_Tables_number 2
_symmetry_space_group_name_Hall '-P 1'
loop_
_atom_site_label
_atom_site_fract_x
_atom_site_fract_y
_atom_site_fract_z
Nd1 0.000 0.000 0.000
Nd2 0.035 0.216 0.336
Nd3 0.185 0.641 0.364
Nd4 0.242 0.585 0.017
Nd5 0.281 0.361 0.780
Nd6 0.439 0.052 0.157
Nd7 0.486 0.766 0.568
Au1 0.175 0.061 0.673
```

Most intense lines, 10 to 80 degrees two-theta, by angle:
d/Å	I (rel.)
3.190	36
3.064	49
3.052	61
3.034	61
2.937	31
2.872	100
2.792	35
2.758	31
2.713	71
2.553	49

No. 7
Theoretical powder XRD pattern
Compound: Nd2Au3
Radiation: Cu Kα (weighted mean of Kα1 and Kα2)
Structure: a crystal structure in Alexandria, relaxed with PBE

Structural model:
```
data_Nd2Au3
_cell_length_a 3.749
_cell_length_b 28.507
_cell_length_c 4.692
_cell_angle_alpha 90.00
_cell_angle_beta 90.00
_cell_angle_gamma 90.00
_symmetry_space_group_name_H-M 'C m c m'
_symmetry_Int_Tables_number 63
_symmetry_space_group_name_Hall '-C 2c 2'
loop_
_atom_site_label
_atom_site_fract_x
_atom_site_fract_y
_atom_site_fract_z
Nd1 0.000 0.071 0.250
Nd2 0.000 0.205 0.750
Au1 0.000 0.318 0.750
Au2 0.000 0.380 0.250
Au3 0.000 0.476 0.250
```

Most intense lines, 10 to 80 degrees two-theta, by angle:
d/Å	I (rel.)
3.717	23
2.799	100
2.758	35
2.436	69
2.346	43
2.150	34
1.874	23
1.787	20
1.486	30
1.464	20

No. 8
Theoretical powder XRD pattern
Compound: NdAu3
Radiation: Cu Kα (weighted mean of Kα1 and Kα2)
Structure: a crystal structure in Alexandria, relaxed with PBE

Structural model:
```
data_NdAu3
_cell_length_a 6.4684
_cell_length_b 6.4684
_cell_length_c 4.8510
_cell_angle_alpha 90.00
_cell_angle_beta 90.00
_cell_angle_gamma 120.00
_symmetry_space_group_name_H-M 'P 63/m m c'
_symmetry_Int_Tables_number 194
_symmetry_space_group_name_Hall '-P 6c 2c'
loop_
_atom_site_label
_atom_site_fract_x
_atom_site_fract_y
_atom_site_fract_z
Nd1 0.3333 0.6667 0.2500
Au1 0.1559 0.3119 0.7500
```

Most intense lines, 10 to 80 degrees two-theta, by angle:
d/Å	I (rel.)
5.602	4
2.801	20
2.426	100
1.941	2
1.834	12
1.743	2
1.617	15
1.400	17
1.345	28
1.213	5

No. 9
Theoretical powder XRD pattern
Compound: Nd4NiAu3
Radiation: Cu Kα (weighted mean of Kα1 and Kα2)
Structure: a crystal structure in Alexandria, relaxed with PBE

Structural model:
```
data_Nd4NiAu3
_cell_length_a 3.957
_cell_length_b 4.701
_cell_length_c 11.018
_cell_angle_alpha 90.00
_cell_angle_beta 90.00
_cell_angle_gamma 90.00
_symmetry_space_group_name_H-M 'P m m 2'
_symmetry_Int_Tables_number 25
_symmetry_space_group_name_Hall 'P 2 -2'
loop_
_atom_site_label
_atom_site_fract_x
_atom_site_fract_y
_atom_site_fract_z
Nd1 0.000 0.000 0.000
Nd2 0.000 0.500 0.262
Nd3 0.500 0.000 0.475
Nd4 0.500 0.500 0.766
Ni1 0.500 0.000 0.206
Au1 0.000 0.000 0.713
Au2 0.000 0.500 0.540
Au3 0.500 0.500 0.049
```

Most intense lines, 10 to 80 degrees two-theta, by angle:
d/Å	I (rel.)
2.919	100
2.755	27
2.692	17
2.377	27
2.351	35
2.336	81
1.979	22
1.788	15
1.514	18
1.242	16

No. 10
Theoretical powder XRD pattern
Compound: NdNi2Au
Radiation: Cu Kα (weighted mean of Kα1 and Kα2)
Structure: a crystal structure in Alexandria, relaxed with PBE

Structural model:
```
data_NdNi2Au
_cell_length_a 4.3663
_cell_length_b 4.3663
_cell_length_c 13.6760
_cell_angle_alpha 90.00
_cell_angle_beta 90.00
_cell_angle_gamma 120.00
_symmetry_space_group_name_H-M 'R -3 m'
_symmetry_Int_Tables_number 166
_symmetry_space_group_name_Hall '-R 3 2"'
loop_
_atom_site_label
_atom_site_fract_x
_atom_site_fract_y
_atom_site_fract_z
Nd1 0.0000 0.0000 0.0000
Ni1 0.0000 0.0000 0.1982
Au1 0.0000 0.0000 0.5000
```

Most intense lines, 10 to 80 degrees two-theta, by angle:
d/Å	I (rel.)
4.559	26
3.309	78
2.536	98
2.279	26
2.183	100
1.969	17
1.655	27
1.577	49
1.319	25
1.286	18

No. 11
Theoretical powder XRD pattern
Compound: Nd3NiAu3
Radiation: Cu Kα (weighted mean of Kα1 and Kα2)
Structure: a crystal structure in Alexandria, relaxed with PBE

Structural model:
```
data_Nd3NiAu3
_cell_length_a 3.945
_cell_length_b 4.601
_cell_length_c 18.970
_cell_angle_alpha 90.00
_cell_angle_beta 90.00
_cell_angle_gamma 90.00
_symmetry_space_group_name_H-M 'I m m 2'
_symmetry_Int_Tables_number 44
_symmetry_space_group_name_Hall 'I 2 -2'
loop_
_atom_site_label
_atom_site_fract_x
_atom_site_fract_y
_atom_site_fract_z
Nd1 0.000 0.000 0.000
Nd2 0.000 0.000 0.363
Nd3 0.000 0.500 0.190
Ni1 0.000 0.500 0.758
Au1 0.000 0.000 0.531
Au2 0.000 0.000 0.828
Au3 0.000 0.500 0.626
```

Most intense lines, 10 to 80 degrees two-theta, by angle:
d/Å	I (rel.)
3.162	23
2.856	100
2.735	29
2.532	51
2.335	44
2.300	40
2.174	39
1.973	30
1.507	22
1.302	23

Please write out number 9 again, unchanged.
Theoretical powder XRD pattern
Compound: Nd4NiAu3
Radiation: Cu Kα (weighted mean of Kα1 and Kα2)
Structure: a crystal structure in Alexandria, relaxed with PBE

Structural model:
```
data_Nd4NiAu3
_cell_length_a 3.957
_cell_length_b 4.701
_cell_length_c 11.018
_cell_angle_alpha 90.00
_cell_angle_beta 90.00
_cell_angle_gamma 90.00
_symmetry_space_group_name_H-M 'P m m 2'
_symmetry_Int_Tables_number 25
_symmetry_space_group_name_Hall 'P 2 -2'
loop_
_atom_site_label
_atom_site_fract_x
_atom_site_fract_y
_atom_site_fract_z
Nd1 0.000 0.000 0.000
Nd2 0.000 0.500 0.262
Nd3 0.500 0.000 0.475
Nd4 0.500 0.500 0.766
Ni1 0.500 0.000 0.206
Au1 0.000 0.000 0.713
Au2 0.000 0.500 0.540
Au3 0.500 0.500 0.049
```

Most intense lines, 10 to 80 degrees two-theta, by angle:
d/Å	I (rel.)
2.919	100
2.755	27
2.692	17
2.377	27
2.351	35
2.336	81
1.979	22
1.788	15
1.514	18
1.242	16